Record 1
# Y2Er4Sc
Simulated X-ray diffraction stick pattern, Cu Ka. Input: a GGA-PBE-relaxed structure.
Intensities are scaled so that the largest is 100.

Largest 10 diffraction maxima, in order of rising 2θ, 2θ = 10–80°:
two_theta, Rel. int., index
23.57, 12, 1 1 -2
28.81, 17, 1 1 2
29.19, 22, 2 0 -1
31.79, 28, 1 2 0
32.39, 100, 1 0 -4
33.49, 35, 2 1 0
33.92, 41, 1 2 -2
44.20, 15, 2 2 1
56.82, 12, 1 2 5
67.56, 16, 1 4 -4

Cell and atoms:
```
data_Y2Er4Sc
_chemical_formula_sum 'Y4 Er8 Sc2'
_space_group_name_H-M_alt 'P 1 21/m 1'
_space_group_IT_number 11
_cell_length_a 6.118
_cell_length_b 6.409
_cell_length_c 11.275
_cell_angle_alpha 90.00
_cell_angle_beta 105.72
_cell_angle_gamma 90.00
loop_
_space_group_symop_operation_xyz
'x,y,z'
'-x,-y,-z'
'-x,y+1/2,-z'
'x,-y+1/2,z'
loop_
_atom_site_label
_atom_site_type_symbol
_atom_site_fract_x
_atom_site_fract_y
_atom_site_fract_z
Y1 Y 0.119 0.250 0.000
Y2 Y 0.210 0.250 0.576
Er1 Er 0.150 0.003 0.287
Er2 Er 0.359 0.750 0.560
Er3 Er 0.464 0.750 0.133
Sc1 Sc 0.335 0.750 0.837
```

***

Record 2
# YEr6Sc
Simulated X-ray diffraction stick pattern, Cu Ka. Input: a GGA-PBE-relaxed structure.
Intensities are scaled so that the largest is 100.

Largest 10 diffraction maxima, in order of rising 2θ, 2θ = 10–80°:
two_theta, Rel. int., index
15.65, 15, 1 1 0
28.41, 23, 0 1 2
31.61, 100, 2 2 0
32.60, 53, 2 0 2
36.35, 24, 1 2 2
46.04, 20, 0 4 2
56.29, 19, 6 0 0
56.92, 21, 4 2 2
58.79, 18, 0 2 4
77.20, 15, 2 4 4

Cell and atoms:
```
data_YEr6Sc
_chemical_formula_sum 'Y3 Er18 Sc3'
_space_group_name_H-M_alt 'R -3 m'
_space_group_IT_number 166
_space_group_name_Hall '-R 3 2"'
_cell_length_a 11.3233
_cell_length_b 11.3233
_cell_length_c 6.6319
_cell_angle_alpha 90.00
_cell_angle_beta 90.00
_cell_angle_gamma 120.00
loop_
_atom_site_label
_atom_site_type_symbol
_atom_site_fract_x
_atom_site_fract_y
_atom_site_fract_z
Y1 Y 0.0000 0.0000 0.0000
Er1 Er 0.0091 0.5046 0.2530
Sc1 Sc 0.0000 0.0000 0.5000
```

***

Record 3
# Y8ErSc3
Simulated X-ray diffraction stick pattern, Cu Ka. Input: a GGA-PBE-relaxed structure.
Intensities are scaled so that the largest is 100.

Largest 10 diffraction maxima, in order of rising 2θ, 2θ = 10–80°:
two_theta, Rel. int., index
28.92, 25, 0 0 2
32.40, 24, 0 4 0
33.24, 100, 3 2 1
43.98, 16, 0 4 2
51.13, 6, 6 0 0
51.31, 12, 3 0 3
58.33, 19, 3 6 1
61.85, 7, 6 4 0
62.00, 14, 3 4 3
62.40, 10, 6 2 2

Cell and atoms:
```
data_Y8ErSc3
_chemical_formula_sum 'Y16 Er2 Sc6'
_space_group_name_H-M_alt 'I m m 2'
_space_group_IT_number 44
_cell_length_a 10.718
_cell_length_b 11.052
_cell_length_c 6.162
_cell_angle_alpha 90.00
_cell_angle_beta 90.00
_cell_angle_gamma 90.00
loop_
_space_group_symop_operation_xyz
'x,y,z'
'-x,-y,z'
'-x,y,z'
'x,-y,z'
'x+1/2,y+1/2,z+1/2'
'-x+1/2,-y+1/2,z+1/2'
'-x+1/2,y+1/2,z+1/2'
'x+1/2,-y+1/2,z+1/2'
loop_
_atom_site_label
_atom_site_type_symbol
_atom_site_fract_x
_atom_site_fract_y
_atom_site_fract_z
Y1 Y 0.162 0.000 0.000
Y2 Y 0.164 0.247 0.656
Y3 Y 0.164 0.500 0.996
Er1 Er 0.000 0.500 0.487
Sc1 Sc 0.000 0.000 0.488
Sc2 Sc 0.000 0.248 0.163
```

***

Record 4
# Y3Er2Sc2
Simulated X-ray diffraction stick pattern, Cu Ka. Input: a GGA-PBE-relaxed structure.
Intensities are scaled so that the largest is 100.

Largest 10 diffraction maxima, in order of rising 2θ, 2θ = 10–80°:
two_theta, Rel. int., index
20.58, 21, 1 3 0
27.11, 21, 0 2 1
31.48, 64, 1 1 1
32.04, 100, 1 7 0
34.47, 42, 2 0 0
34.99, 31, 0 6 1
36.89, 20, 1 5 1
41.70, 24, 1 7 1
49.93, 22, 2 6 1
63.67, 27, 1 7 2

Cell and atoms:
```
data_Y3Er2Sc2
_chemical_formula_sum 'Y6 Er4 Sc4'
_space_group_name_H-M_alt 'C m m m'
_space_group_IT_number 65
_space_group_name_Hall '-C 2 2'
_cell_length_a 5.203
_cell_length_b 23.174
_cell_length_c 3.430
_cell_angle_alpha 90.00
_cell_angle_beta 90.00
_cell_angle_gamma 90.00
loop_
_atom_site_label
_atom_site_type_symbol
_atom_site_fract_x
_atom_site_fract_y
_atom_site_fract_z
Y1 Y 0.000 0.000 0.000
Y2 Y 0.000 0.424 0.500
Er1 Er 0.000 0.285 0.500
Sc1 Sc 0.000 0.153 0.000
```

***

Record 5
# Y7Er2Sc2
Simulated X-ray diffraction stick pattern, Cu Ka. Input: a GGA-PBE-relaxed structure.
Intensities are scaled so that the largest is 100.

Largest 10 diffraction maxima, in order of rising 2θ, 2θ = 10–80°:
two_theta, Rel. int., index
13.78, 29, 1 1 0
24.38, 27, 1 1 -2
30.99, 35, 1 3 1
32.00, 100, 2 2 1
32.67, 75, 2 2 -2
33.56, 43, 3 1 -1
34.07, 40, 0 4 0
34.40, 70, 0 0 3
57.35, 23, 4 0 -4
60.94, 22, 2 2 -5

Cell and atoms:
```
data_Y7Er2Sc2
_chemical_formula_sum 'Y14 Er4 Sc4'
_space_group_name_H-M_alt 'C 1 2/m 1'
_space_group_IT_number 12
_cell_length_a 8.340
_cell_length_b 10.525
_cell_length_c 8.040
_cell_angle_alpha 90.00
_cell_angle_beta 103.39
_cell_angle_gamma 90.00
loop_
_space_group_symop_operation_xyz
'x,y,z'
'-x,-y,-z'
'-x,y,-z'
'x,-y,z'
'x+1/2,y+1/2,z'
'-x+1/2,-y+1/2,-z'
'-x+1/2,y+1/2,-z'
'x+1/2,-y+1/2,z'
loop_
_atom_site_label
_atom_site_type_symbol
_atom_site_fract_x
_atom_site_fract_y
_atom_site_fract_z
Y1 Y 0.000 0.000 0.000
Y2 Y 0.195 0.000 0.473
Y3 Y 0.202 0.286 0.182
Er1 Er 0.085 0.500 0.822
Sc1 Sc 0.000 0.294 0.500
```

***

Record 6
# Y3ErSc3
Simulated X-ray diffraction stick pattern, Cu Ka. Input: a GGA-PBE-relaxed structure.
Intensities are scaled so that the largest is 100.

Largest 10 diffraction maxima, in order of rising 2θ, 2θ = 10–80°:
two_theta, Rel. int., index
19.69, 20, 1 0 1
22.20, 6, 2 0 0
29.52, 27, 1 2 0
32.82, 24, 0 0 2
33.87, 100, 1 2 1
44.72, 17, 1 2 2
52.36, 19, 4 1 0
59.27, 19, 1 2 3
63.19, 21, 4 1 2
63.83, 16, 2 4 1

Cell and atoms:
```
data_Y3ErSc3
_chemical_formula_sum 'Y6 Er2 Sc6'
_space_group_name_H-M_alt 'P 63/m'
_space_group_IT_number 176
_space_group_name_Hall '-P 6c'
_cell_length_a 9.2457
_cell_length_b 9.2457
_cell_length_c 5.4575
_cell_angle_alpha 90.00
_cell_angle_beta 90.00
_cell_angle_gamma 120.00
loop_
_atom_site_label
_atom_site_type_symbol
_atom_site_fract_x
_atom_site_fract_y
_atom_site_fract_z
Y1 Y 0.0480 0.8019 0.2500
Er1 Er 0.3333 0.6667 0.2500
Sc1 Sc 0.0964 0.6132 0.7500
```

***

Record 7
# Y2ErSc7
Simulated X-ray diffraction stick pattern, Cu Ka. Input: a GGA-PBE-relaxed structure.
Intensities are scaled so that the largest is 100.

Largest 10 diffraction maxima, in order of rising 2θ, 2θ = 10–80°:
two_theta, Rel. int., index
10.24, 28, 0 2 0
20.67, 44, 0 2 1
23.84, 25, 2 0 0
26.57, 24, 1 3 1
31.73, 100, 2 4 0
33.83, 64, 1 5 1
36.08, 18, 0 6 1
36.27, 31, 0 0 2
48.74, 21, 4 0 0
48.91, 22, 2 4 2

Cell and atoms:
```
data_Y2ErSc7
_chemical_formula_sum 'Y4 Er2 Sc14'
_space_group_name_H-M_alt 'C m m m'
_space_group_IT_number 65
_space_group_name_Hall '-C 2 2'
_cell_length_a 7.465
_cell_length_b 17.274
_cell_length_c 4.954
_cell_angle_alpha 90.00
_cell_angle_beta 90.00
_cell_angle_gamma 90.00
loop_
_atom_site_label
_atom_site_type_symbol
_atom_site_fract_x
_atom_site_fract_y
_atom_site_fract_z
Y1 Y 0.000 0.237 0.000
Er1 Er 0.000 0.500 0.500
Sc1 Sc 0.000 0.000 0.000
Sc2 Sc 0.000 0.091 0.500
Sc3 Sc 0.196 0.405 0.000
```

***

Record 8
# Y2Er2Sc5
Simulated X-ray diffraction stick pattern, Cu Ka. Input: a GGA-PBE-relaxed structure.
Intensities are scaled so that the largest is 100.

Largest 10 diffraction maxima, in order of rising 2θ, 2θ = 10–80°:
two_theta, Rel. int., index
14.79, 43, 1 1 1
22.08, 27, 1 0 2
26.82, 27, 2 1 -1
27.15, 43, 1 0 -2
31.61, 41, 1 0 3
33.18, 95, 3 1 1
33.29, 100, 2 3 0
33.41, 75, 0 2 2
33.63, 88, 1 -2 1
34.39, 86, 2 1 -2

Cell and atoms:
```
data_Y2Er2Sc5
_chemical_formula_sum 'Y4 Er4 Sc10'
_space_group_name_H-M_alt 'P 1'
_space_group_IT_number 1
_cell_length_a 8.269
_cell_length_b 8.304
_cell_length_c 8.659
_cell_angle_alpha 85.00
_cell_angle_beta 76.11
_cell_angle_gamma 60.14
loop_
_space_group_symop_operation_xyz
'x,y,z'
loop_
_atom_site_label
_atom_site_type_symbol
_atom_site_fract_x
_atom_site_fract_y
_atom_site_fract_z
Y1 Y 0.000 0.000 0.000
Y2 Y 0.012 0.382 0.565
Y3 Y 0.510 0.328 0.189
Y4 Y 0.527 0.701 0.740
Er1 Er 0.191 0.541 0.952
Er2 Er 0.206 0.923 0.510
Er3 Er 0.670 0.227 0.778
Er4 Er 0.691 0.595 0.328
Sc1 Sc 0.026 0.717 0.322
Sc2 Sc 0.175 0.208 0.193
Sc3 Sc 0.310 0.144 0.816
Sc4 Sc 0.364 0.476 0.555
Sc5 Sc 0.371 0.757 0.125
Sc6 Sc 0.562 0.010 0.466
Sc7 Sc 0.640 0.913 0.050
Sc8 Sc 0.832 0.166 0.394
Sc9 Sc 0.839 0.451 0.963
Sc10 Sc 0.894 0.786 0.700
```

***

Record 9
# Y4Er8Sc
Simulated X-ray diffraction stick pattern, Cu Ka. Input: a GGA-PBE-relaxed structure.
Intensities are scaled so that the largest is 100.

Largest 10 diffraction maxima, in order of rising 2θ, 2θ = 10–80°:
two_theta, Rel. int., index
10.45, 21, 0 0 3
27.91, 20, 0 2 1
28.58, 38, 2 0 2
31.13, 100, 0 2 4
31.72, 44, 0 0 9
32.92, 69, 2 0 5
37.33, 22, 0 2 7
48.96, 34, 2 2 0
54.98, 19, 0 2 13
59.52, 34, 2 2 9

Cell and atoms:
```
data_Y4Er8Sc
_chemical_formula_sum 'Y12 Er24 Sc3'
_space_group_name_H-M_alt 'R -3 m'
_space_group_IT_number 166
_space_group_name_Hall '-R 3 2"'
_cell_length_a 7.4414
_cell_length_b 7.4414
_cell_length_c 25.3898
_cell_angle_alpha 90.00
_cell_angle_beta 90.00
_cell_angle_gamma 120.00
loop_
_atom_site_label
_atom_site_type_symbol
_atom_site_fract_x
_atom_site_fract_y
_atom_site_fract_z
Y1 Y 0.0000 0.0000 0.0000
Y2 Y 0.0000 0.5000 0.0000
Er1 Er 0.0000 0.0000 0.2220
Er2 Er 0.0434 0.5217 0.7762
Sc1 Sc 0.0000 0.0000 0.5000
```

***

Record 10
# Y2Er5Sc
Simulated X-ray diffraction stick pattern, Cu Ka. Input: a GGA-PBE-relaxed structure.
Intensities are scaled so that the largest is 100.

Largest 10 diffraction maxima, in order of rising 2θ, 2θ = 10–80°:
two_theta, Rel. int., index
16.43, 6, 1 1 1
21.54, 6, 0 2 2
28.92, 24, 2 0 2
32.30, 24, 0 4 0
33.21, 100, 0 2 4
43.90, 16, 2 4 2
51.24, 20, 4 0 0
58.19, 20, 0 6 4
61.88, 22, 4 4 0
62.44, 16, 4 2 4

Cell and atoms:
```
data_Y2Er5Sc
_chemical_formula_sum 'Y8 Er20 Sc4'
_space_group_name_H-M_alt 'F m m 2'
_space_group_IT_number 42
_space_group_name_Hall 'F 2 -2'
_cell_length_a 7.131
_cell_length_b 11.086
_cell_length_c 12.351
_cell_angle_alpha 90.00
_cell_angle_beta 90.00
_cell_angle_gamma 90.00
loop_
_atom_site_label
_atom_site_type_symbol
_atom_site_fract_x
_atom_site_fract_y
_atom_site_fract_z
Y1 Y 0.000 0.246 0.000
Er1 Er 0.000 0.000 0.335
Er2 Er 0.248 0.000 0.584
Er3 Er 0.250 0.250 0.251
Sc1 Sc 0.000 0.000 0.834
```

***

Record 11
# Y7Er2Sc2
Simulated X-ray diffraction stick pattern, Cu Ka. Input: a GGA-PBE-relaxed structure.
Intensities are scaled so that the largest is 100.

Largest 10 diffraction maxima, in order of rising 2θ, 2θ = 10–80°:
two_theta, Rel. int., index
15.29, 29, 2 0 -2
29.69, 16, 6 0 -3
29.83, 17, 3 1 0
30.85, 43, 4 0 -4
32.39, 53, 6 0 0
32.79, 100, 1 1 2
34.56, 91, 5 1 -2
51.28, 17, 0 2 0
60.33, 17, 11 1 -2
61.97, 16, 6 2 0

Cell and atoms:
```
data_Y7Er2Sc2
_chemical_formula_sum 'Y14 Er4 Sc4'
_space_group_name_H-M_alt 'C 1 2/m 1'
_space_group_IT_number 12
_cell_length_a 19.237
_cell_length_b 3.563
_cell_length_c 11.671
_cell_angle_alpha 90.00
_cell_angle_beta 120.43
_cell_angle_gamma 90.00
loop_
_space_group_symop_operation_xyz
'x,y,z'
'-x,-y,-z'
'-x,y,-z'
'x,-y,z'
'x+1/2,y+1/2,z'
'-x+1/2,-y+1/2,-z'
'-x+1/2,y+1/2,-z'
'x+1/2,-y+1/2,z'
loop_
_atom_site_label
_atom_site_type_symbol
_atom_site_fract_x
_atom_site_fract_y
_atom_site_fract_z
Y1 Y 0.000 0.000 0.000
Y2 Y 0.145 0.500 0.624
Y3 Y 0.163 0.000 0.903
Y4 Y 0.171 0.000 0.375
Er1 Er 0.005 0.500 0.281
Sc1 Sc 0.184 0.500 0.154
```

***

Record 12
# Y3Er5Sc2
Simulated X-ray diffraction stick pattern, Cu Ka. Input: a GGA-PBE-relaxed structure.
Intensities are scaled so that the largest is 100.

Largest 10 diffraction maxima, in order of rising 2θ, 2θ = 10–80°:
two_theta, Rel. int., index
23.69, 33, 0 0 2
30.84, 100, 2 4 0
31.40, 38, 2 2 1
31.44, 39, 2 2 -3
34.13, 39, 4 0 -2
36.38, 20, 0 6 1
46.35, 18, 0 8 0
50.46, 16, 0 6 3
50.74, 16, 4 6 -3
62.33, 17, 4 6 1

Cell and atoms:
```
data_Y3Er5Sc2
_chemical_formula_sum 'Y12 Er20 Sc8'
_space_group_name_H-M_alt 'C 1 2/c 1'
_space_group_IT_number 15
_cell_length_a 10.509
_cell_length_b 15.689
_cell_length_c 9.161
_cell_angle_alpha 90.00
_cell_angle_beta 124.91
_cell_angle_gamma 90.00
loop_
_space_group_symop_operation_xyz
'x,y,z'
'-x,-y,-z'
'-x,y,-z+1/2'
'x,-y,z+1/2'
'x+1/2,y+1/2,z'
'-x+1/2,-y+1/2,-z'
'-x+1/2,y+1/2,-z+1/2'
'x+1/2,-y+1/2,z+1/2'
loop_
_atom_site_label
_atom_site_type_symbol
_atom_site_fract_x
_atom_site_fract_y
_atom_site_fract_z
Y1 Y 0.000 0.014 0.250
Y2 Y 0.150 0.371 0.545
Er1 Er 0.000 0.217 0.250
Er2 Er 0.000 0.281 0.750
Er3 Er 0.000 0.478 0.750
Er4 Er 0.248 0.356 0.239
Sc1 Sc 0.148 0.136 0.049
```

***

Record 13
# Y2Er6Sc
Simulated X-ray diffraction stick pattern, Cu Ka. Input: a GGA-PBE-relaxed structure.
Intensities are scaled so that the largest is 100.

Largest 10 diffraction maxima, in order of rising 2θ, 2θ = 10–80°:
two_theta, Rel. int., index
28.41, 26, 1 1 -2
29.43, 100, 0 4 1
31.56, 85, 2 2 -2
31.80, 80, 4 2 0
31.94, 77, 4 2 -1
33.14, 53, 1 5 0
33.88, 33, 1 3 -2
34.41, 49, 2 4 1
35.00, 56, 2 0 2
61.49, 27, 6 4 -3

Cell and atoms:
```
data_Y2Er6Sc
_chemical_formula_sum 'Y8 Er24 Sc4'
_space_group_name_H-M_alt 'C 1 2/c 1'
_space_group_IT_number 15
_cell_length_a 12.673
_cell_length_b 13.855
_cell_length_c 6.456
_cell_angle_alpha 90.00
_cell_angle_beta 103.57
_cell_angle_gamma 90.00
loop_
_space_group_symop_operation_xyz
'x,y,z'
'-x,-y,-z'
'-x,y,-z+1/2'
'x,-y,z+1/2'
'x+1/2,y+1/2,z'
'-x+1/2,-y+1/2,-z'
'-x+1/2,y+1/2,-z+1/2'
'x+1/2,-y+1/2,z+1/2'
loop_
_atom_site_label
_atom_site_type_symbol
_atom_site_fract_x
_atom_site_fract_y
_atom_site_fract_z
Y1 Y 0.143 0.025 0.371
Er1 Er 0.032 0.189 0.000
Er2 Er 0.130 0.414 0.810
Er3 Er 0.244 0.201 0.734
Sc1 Sc 0.000 0.381 0.250
```